Structure and simulated powder diffraction line list of Li3VF6 (DFT lattice parameters and positions (GGA+U); CuKα).

Most intense lines, 2θ from 15° to 90°, low angle first:
2θ 17.7, I 68; 2θ 19.5, I 69; 2θ 20.9, I 100; 2θ 22.1, I 21; 2θ 24.4, I 20; 2θ 28.4, I 24; 2θ 36.5, I 35; 2θ 38.8, I 24; 2θ 40.9, I 44; 2θ 46.7, I 40

Crystal structure
```
Li3VF6
1.0
4.598 -2.614 0.000
4.598 2.614 0.000
-1.525 0.000 10.038
Li V F
6 2 12
Direct
0.145 0.771 0.241
0.182 0.818 0.500
0.509 0.888 0.137
0.771 0.145 0.741
0.818 0.182 0.000
0.888 0.509 0.637
0.156 0.512 0.952
0.512 0.156 0.452
0.070 0.840 0.856
0.160 0.224 0.061
0.217 0.495 0.360
0.224 0.160 0.561
0.437 0.885 0.318
0.457 0.550 0.083
0.495 0.217 0.860
0.550 0.457 0.583
0.833 0.865 0.581
0.840 0.070 0.356
0.865 0.833 0.081
0.885 0.437 0.818
```